No. 1
For CsBr, a structure optimized by DFT (GGA-PBE) gives the simulated XRD peak list in this record (Cu Kα X-rays).
Kinematic intensities with the Lorentz-polarization factor, no thermal factor.

Structural model:
```
data_CsBr
_chemical_formula_sum 'Cs1 Br1'
_space_group_name_H-M_alt 'P m -3 m'
_space_group_IT_number 221
_space_group_name_Hall '-P 4 2 3'
_cell_length_a 4.393
_cell_length_b 4.393
_cell_length_c 4.393
_cell_angle_alpha 90.00
_cell_angle_beta 90.00
_cell_angle_gamma 90.00
loop_
_atom_site_label
_atom_site_type_symbol
_atom_site_fract_x
_atom_site_fract_y
_atom_site_fract_z
Cs1 Cs 0.000 0.000 0.000
Br1 Br 0.500 0.500 0.500
```

Peak list (6 most intense, 10 to 90 degrees two-theta, most intense first)
2θ 28.74, I = 100, (1 1 0)
2θ 50.92, I = 40, (2 1 1)
2θ 82.08, I = 20, (3 2 1)
2θ 41.09, I = 19, (2 0 0)
2θ 67.41, I = 17, (3 1 0)
2θ 59.52, I = 12, (2 2 0)

No. 2
For ZnC2S2O2F2, a structure optimized by DFT (GGA-PBE) gives the simulated XRD peak list in this record (Cu Kα X-rays).
Kinematic intensities with the Lorentz-polarization factor, no thermal factor.

Structural model:
```
data_ZnC2S2O2F2
_chemical_formula_sum 'Zn1 C2 S2 O2 F2'
_space_group_name_H-M_alt 'P -1'
_space_group_IT_number 2
_space_group_name_Hall '-P 1'
_cell_length_a 4.457
_cell_length_b 4.592
_cell_length_c 10.297
_cell_angle_alpha 84.99
_cell_angle_beta 79.45
_cell_angle_gamma 64.40
loop_
_atom_site_label
_atom_site_type_symbol
_atom_site_fract_x
_atom_site_fract_y
_atom_site_fract_z
Zn1 Zn 0.000 0.000 0.000
C1 C 0.236 0.214 0.323
S1 S 0.260 0.272 0.154
O1 O 0.369 0.739 0.882
F1 F 0.068 0.764 0.621
```

Peak list (6 most intense, 10 to 90 degrees two-theta, most intense first)
2θ 23.28, I = 100, (0 1 -1)
2θ 27.07, I = 67, (1 1 2)
2θ 34.44, I = 25, (0 1 -3)
2θ 31.92, I = 23, (1 0 3)
2θ 27.97, I = 21, (0 1 -2)
2θ 22.42, I = 21, (1 0 0)

No. 3
For U, a structure optimized by DFT (GGA-PBE) gives the simulated XRD peak list in this record (Cu Kα X-rays).
Kinematic intensities with the Lorentz-polarization factor, no thermal factor.

Structural model:
```
data_U
_chemical_formula_sum 'U30'
_space_group_name_H-M_alt 'P 42 n m'
_space_group_IT_number 102
_space_group_name_Hall 'P 4n -2n'
_cell_length_a 10.418
_cell_length_b 10.418
_cell_length_c 5.706
_cell_angle_alpha 90.00
_cell_angle_beta 90.00
_cell_angle_gamma 90.00
loop_
_atom_site_label
_atom_site_type_symbol
_atom_site_fract_x
_atom_site_fract_y
_atom_site_fract_z
U1 U 0.000 0.000 0.000
U2 U 0.050 0.359 0.459
U3 U 0.056 0.271 0.019
U4 U 0.110 0.110 0.536
U5 U 0.177 0.823 0.268
U6 U 0.177 0.823 0.716
```

Peak list (6 most intense, 10 to 90 degrees two-theta, most intense first)
2θ 35.53, I = 100, (4 1 0)
2θ 38.98, I = 92, (4 1 1)
2θ 36.95, I = 76, (2 1 2)
2θ 39.97, I = 59, (3 3 1)
2θ 36.59, I = 49, (3 3 0)
2θ 31.35, I = 34, (0 0 2)

No. 4
For Ba3Cl2O2, a structure optimized by DFT (GGA-PBE) gives the simulated XRD peak list in this record (Cu Kα X-rays).
Kinematic intensities with the Lorentz-polarization factor, no thermal factor.

Structural model:
```
data_Ba3Cl2O2
_chemical_formula_sum 'Ba12 Cl8 O8'
_space_group_name_H-M_alt 'P n m a'
_space_group_IT_number 62
_space_group_name_Hall '-P 2ac 2n'
_cell_length_a 12.633
_cell_length_b 6.348
_cell_length_c 10.793
_cell_angle_alpha 90.00
_cell_angle_beta 90.00
_cell_angle_gamma 90.00
loop_
_atom_site_label
_atom_site_type_symbol
_atom_site_fract_x
_atom_site_fract_y
_atom_site_fract_z
Ba1 Ba 0.047 0.250 0.202
Ba2 Ba 0.082 0.250 0.559
Ba3 Ba 0.213 0.750 0.359
Cl1 Cl 0.135 0.750 0.058
Cl2 Cl 0.195 0.750 0.677
O1 O 0.073 0.000 0.372
```

Peak list (6 most intense, 10 to 90 degrees two-theta, most intense first)
2θ 31.64, I = 100, (4 1 0)
2θ 28.11, I = 86, (0 2 0)
2θ 28.52, I = 83, (0 1 3)
2θ 29.40, I = 80, (1 1 3)
2θ 21.49, I = 76, (2 1 1)
2θ 22.74, I = 75, (1 1 2)

No. 5
For TmGa6Fe6, a structure optimized by DFT (GGA-PBE) gives the simulated XRD peak list in this record (Cu Kα X-rays).
Kinematic intensities with the Lorentz-polarization factor, no thermal factor.

Structural model:
```
data_TmGa6Fe6
_chemical_formula_sum 'Tm2 Ga12 Fe12'
_space_group_name_H-M_alt 'I m m m'
_space_group_IT_number 71
_space_group_name_Hall '-I 2 2'
_cell_length_a 5.008
_cell_length_b 8.469
_cell_length_c 8.658
_cell_angle_alpha 90.00
_cell_angle_beta 90.00
_cell_angle_gamma 90.00
loop_
_atom_site_label
_atom_site_type_symbol
_atom_site_fract_x
_atom_site_fract_y
_atom_site_fract_z
Tm1 Tm 0.000 0.000 0.000
Ga1 Ga 0.000 0.000 0.342
Ga2 Ga 0.000 0.334 0.000
Ga3 Ga 0.000 0.500 0.322
Fe1 Fe 0.000 0.255 0.500
Fe2 Fe 0.250 0.250 0.250
```

Peak list (6 most intense, 10 to 90 degrees two-theta, most intense first)
2θ 41.94, I = 100, (2 2 0)
2θ 35.90, I = 73, (2 0 0)
2θ 41.69, I = 55, (0 0 4)
2θ 47.12, I = 44, (2 2 2)
2θ 42.70, I = 34, (0 4 0)
2θ 42.26, I = 33, (1 3 2)

No. 6
For BaNb3NO7, a structure optimized by DFT (GGA-PBE) gives the simulated XRD peak list in this record (Cu Kα X-rays).
Kinematic intensities with the Lorentz-polarization factor, no thermal factor.

Structural model:
```
data_BaNb3NO7
_chemical_formula_sum 'Ba4 Nb12 N4 O28'
_space_group_name_H-M_alt 'C 1 m 1'
_space_group_IT_number 8
_space_group_name_Hall 'C -2y'
_cell_length_a 21.202
_cell_length_b 3.876
_cell_length_c 9.119
_cell_angle_alpha 90.00
_cell_angle_beta 91.48
_cell_angle_gamma 90.00
loop_
_atom_site_label
_atom_site_type_symbol
_atom_site_fract_x
_atom_site_fract_y
_atom_site_fract_z
Ba1 Ba 0.000 0.000 0.000
Ba2 Ba 0.035 0.000 0.501
Nb1 Nb 0.145 0.500 0.820
Nb2 Nb 0.149 0.500 0.191
Nb3 Nb 0.259 0.000 0.995
Nb4 Nb 0.277 0.500 0.512
Nb5 Nb 0.386 0.000 0.310
Nb6 Nb 0.386 0.000 0.689
N1 N 0.098 0.500 0.999
N2 N 0.362 0.500 0.654
O1 O 0.082 0.500 0.677
O2 O 0.084 0.500 0.320
O3 O 0.172 0.000 0.157
O4 O 0.173 0.000 0.841
O5 O 0.220 0.500 0.656
O6 O 0.223 0.500 0.341
O7 O 0.231 0.500 0.997
O8 O 0.304 0.000 0.491
O9 O 0.314 0.000 0.155
O10 O 0.315 0.000 0.848
O11 O 0.366 0.500 0.337
O12 O 0.438 0.000 0.497
O13 O 0.451 0.000 0.184
O14 O 0.453 0.000 0.819
```

Peak list (6 most intense, 10 to 90 degrees two-theta, most intense first)
2θ 25.44, I = 100, (4 0 -2)
2θ 26.12, I = 92, (4 0 2)
2θ 26.23, I = 89, (3 1 0)
2θ 30.64, I = 52, (1 1 2)
2θ 31.27, I = 48, (5 1 0)
2θ 30.50, I = 46, (1 1 -2)

No. 7
For InTeO3F, a structure optimized by DFT (GGA-PBE) gives the simulated XRD peak list in this record (Cu Kα X-rays).
Kinematic intensities with the Lorentz-polarization factor, no thermal factor.

Structural model:
```
data_InTeO3F
_chemical_formula_sum 'In4 Te4 O12 F4'
_space_group_name_H-M_alt 'P 1 21/c 1'
_space_group_IT_number 14
_space_group_name_Hall '-P 2ybc'
_cell_length_a 8.314
_cell_length_b 5.518
_cell_length_c 8.051
_cell_angle_alpha 90.00
_cell_angle_beta 92.34
_cell_angle_gamma 90.00
loop_
_atom_site_label
_atom_site_type_symbol
_atom_site_fract_x
_atom_site_fract_y
_atom_site_fract_z
In1 In 0.143 0.219 0.323
Te1 Te 0.292 0.696 0.153
O1 O 0.095 0.614 0.678
O2 O 0.163 0.086 0.574
O3 O 0.278 0.548 0.367
F1 F 0.380 0.032 0.298
```

Peak list (6 most intense, 10 to 90 degrees two-theta, most intense first)
2θ 27.44, I = 100, (0 1 2)
2θ 26.87, I = 73, (2 1 0)
2θ 21.39, I = 53, (2 0 0)
2θ 34.47, I = 44, (2 1 -2)
2θ 22.10, I = 39, (0 0 2)
2θ 10.65, I = 24, (1 0 0)

No. 8
For Y7Mg3Ge8, a structure optimized by DFT (GGA-PBE) gives the simulated XRD peak list in this record (Cu Kα X-rays).
Kinematic intensities with the Lorentz-polarization factor, no thermal factor.

Structural model:
```
data_Y7Mg3Ge8
_chemical_formula_sum 'Y14 Mg6 Ge16'
_space_group_name_H-M_alt 'P 1 21 1'
_space_group_IT_number 4
_space_group_name_Hall 'P 2yb'
_cell_length_a 7.825
_cell_length_b 7.163
_cell_length_c 14.474
_cell_angle_alpha 90.00
_cell_angle_beta 90.00
_cell_angle_gamma 90.00
loop_
_atom_site_label
_atom_site_type_symbol
_atom_site_fract_x
_atom_site_fract_y
_atom_site_fract_z
Y1 Y 0.065 0.000 0.152
Y2 Y 0.066 0.998 0.847
Y3 Y 0.073 0.318 0.625
Y4 Y 0.075 0.319 0.376
Y5 Y 0.431 0.658 0.879
Y6 Y 0.433 0.976 0.345
Y7 Y 0.434 0.979 0.657
Mg1 Mg 0.236 0.330 0.001
Mg2 Mg 0.268 0.650 0.500
Mg3 Mg 0.426 0.662 0.126
Ge1 Ge 0.112 0.703 0.000
Ge2 Ge 0.161 0.012 0.501
Ge3 Ge 0.217 0.659 0.715
Ge4 Ge 0.218 0.658 0.284
Ge5 Ge 0.285 0.323 0.212
Ge6 Ge 0.287 0.317 0.790
Ge7 Ge 0.344 0.960 0.001
Ge8 Ge 0.387 0.277 0.500
```

Peak list (6 most intense, 10 to 90 degrees two-theta, most intense first)
2θ 33.19, I = 100, (1 2 3)
2θ 31.99, I = 87, (2 1 -3)
2θ 39.46, I = 50, (1 3 0)
2θ 33.74, I = 47, (2 0 4)
2θ 37.18, I = 45, (3 1 1)
2θ 36.06, I = 33, (2 1 -4)